Entry 1:
Structure and simulated powder diffraction line list of MoW (a structure optimized by DFT (PBE); Cu Kα (weighted mean of Kα1 and Kα2)).

Main lines, most intense first (10 to 90 degrees two-theta):
40.19 deg, 2.244 Å, I 1000, (1 1 0)
73.05 deg, 1.295 Å, I 344, (2 1 1)
58.15 deg, 1.586 Å, I 169, (2 0 0)
86.82 deg, 1.122 Å, I 113, (2 2 0)
28.12 deg, 3.173 Å, I 111, (1 0 0)
65.82 deg, 1.419 Å, I 46, (2 1 0)
49.77 deg, 1.832 Å, I 34, (1 1 1)

Structural model:
Lattice parameters (Å, degrees): 3.173 3.173 3.173 90.00 90.00 90.00
Space group Pm-3m (No. 221)
Unique sites:
Mo1 0.000 0.000 0.000 [1 per cell]
W1 0.500 0.500 0.500 [1 per cell]


Entry 2:
Structure and simulated powder diffraction line list of Zn3Mo (a structure optimized by DFT (PBE); Cu Kα (weighted mean of Kα1 and Kα2)).

Main lines, most intense first (10 to 90 degrees two-theta):
40.52 deg, 2.226 Å, I 1000, (1 1 1)
47.14 deg, 1.928 Å, I 477, (2 0 0)
83.07 deg, 1.163 Å, I 342, (3 1 1)
68.87 deg, 1.363 Å, I 290, (2 2 0)
87.67 deg, 1.113 Å, I 101, (2 2 2)
23.07 deg, 3.856 Å, I 25, (1 0 0)
32.85 deg, 2.727 Å, I 19, (1 1 0)
53.11 deg, 1.724 Å, I 9, (2 1 0)
58.65 deg, 1.574 Å, I 7, (2 1 1)
73.71 deg, 1.285 Å, I 5, (3 0 0)

Structural model:
Lattice parameters (Å, degrees): 3.856 3.856 3.856 90.00 90.00 90.00
Space group Pm-3m (No. 221)
Unique sites:
Zn1 0.000 0.000 0.500 [3 per cell]
Mo1 0.500 0.500 0.500 [1 per cell]


Entry 3:
Structure and simulated powder diffraction line list of Zn5Mo4 (a structure optimized by DFT (PBE); Cu Kα (weighted mean of Kα1 and Kα2)).

Main lines, most intense first (10 to 90 degrees two-theta):
40.55 deg, 2.225 Å, I 1000, (3 0 1)
42.59 deg, 2.123 Å, I 433, (3 3 0)
76.56 deg, 1.244 Å, I 287, (6 3 1)
72.35 deg, 1.306 Å, I 169, (3 3 2)
61.80 deg, 1.501 Å, I 136, (6 0 0)
87.74 deg, 1.112 Å, I 103, (6 0 2)
55.47 deg, 1.657 Å, I 96, (0 0 2)
13.90 deg, 6.369 Å, I 43, (1 1 0)
35.07 deg, 2.559 Å, I 14, (2 1 1)
50.01 deg, 1.824 Å, I 6, (4 1 1)

Structural model:
Lattice parameters (Å, degrees): 9.007 9.007 3.313 90.00 90.00 90.00
Space group I4/mmm (No. 139)
Unique sites:
Zn1 0.000 0.000 0.000 [2 per cell]
Zn2 0.169 0.169 0.500 [8 per cell]
Mo1 0.000 0.333 0.000 [8 per cell]


Entry 4:
Structure and simulated powder diffraction line list of Zn4Mo3 (a structure optimized by DFT (PBE); Cu Kα (weighted mean of Kα1 and Kα2)).

Main lines, most intense first (10 to 90 degrees two-theta):
42.29 deg, 2.137 Å, I 1000, (1 2 1)
40.16 deg, 2.245 Å, I 263, (0 0 2)
37.00 deg, 2.430 Å, I 252, (1 2 0)
80.78 deg, 1.190 Å, I 181, (4 1 2)
74.44 deg, 1.274 Å, I 176, (1 2 3)
66.67 deg, 1.403 Å, I 160, (4 1 0)
55.74 deg, 1.649 Å, I 146, (1 2 2)
82.20 deg, 1.173 Å, I 127, (2 4 1)
13.78 deg, 6.429 Å, I 96, (1 0 0)
86.73 deg, 1.123 Å, I 27, (0 0 4)

Structural model:
Lattice parameters (Å, degrees): 7.4230 7.4230 4.4908 90.00 90.00 120.00
Space group P6_3/m (No. 176)
Unique sites:
Zn1 0.0929 0.6123 0.2500 [6 per cell]
Zn2 0.3333 0.6667 0.7500 [2 per cell]
Mo1 0.0458 0.8220 0.7500 [6 per cell]